The following is a calculated PXRD pattern of Li2MnP2O7. It was derived from a structure optimized by DFT (PBE+U), using CuKα.
Kinematic intensities with the Lorentz-polarization factor, no thermal factor.

Cell and atoms:
Cell lengths 5.472, 6.627, 8.911 Å; angles 107.86, 98.28, 106.85 degrees
Atoms (fractional coordinates):
Li1 0.189 0.286 0.454
Li2 0.303 0.715 0.270
Li3 0.697 0.285 0.730
Li4 0.811 0.714 0.546
Mn1 0.120 0.118 0.869
Mn2 0.880 0.882 0.131
P1 0.242 0.659 0.907
P2 0.388 0.801 0.629
P3 0.612 0.199 0.371
P4 0.758 0.341 0.093
O1 0.067 0.408 0.836
O2 0.075 0.814 0.928
O3 0.183 0.918 0.644
O4 0.310 0.605 0.465
O5 0.326 0.041 0.336
O6 0.399 0.692 0.770
O7 0.454 0.723 0.062
O8 0.546 0.277 0.938
O9 0.601 0.308 0.230
O10 0.674 0.959 0.664
O11 0.690 0.395 0.535
O12 0.817 0.082 0.356
O13 0.925 0.186 0.072
O14 0.933 0.592 0.164

Most intense lines, 10° ≤ 2θ ≤ 80°, by angle:
| 2θ/deg | intensity |
| --- | --- |
| 10.79 | 68.9 |
| 15.00 | 27.4 |
| 21.36 | 45.1 |
| 22.09 | 24.8 |
| 22.88 | 100.0 |
| 24.19 | 24.6 |
| 26.98 | 25.7 |
| 29.14 | 33.9 |
| 30.13 | 47.6 |
| 33.02 | 35.7 |
| 33.20 | 19.6 |
| 38.80 | 28.6 |



The following is a calculated PXRD pattern of SrEuInWO6. It was derived from a structure optimized by DFT (PBE+U), using CuKα.
Kinematic intensities with the Lorentz-polarization factor, no thermal factor.

Cell and atoms:
Cell lengths 5.832, 5.832, 5.832 Å; angles 60.00, 60.00, 60.00 degrees
Atoms (fractional coordinates):
Sr1 0.000 0.000 0.000
Eu1 0.500 0.500 0.500
In1 0.750 0.750 0.750
W1 0.250 0.250 0.250
O1 0.008 0.008 0.492
O2 0.008 0.492 0.008
O3 0.008 0.492 0.492
O4 0.492 0.008 0.008
O5 0.492 0.008 0.492
O6 0.492 0.492 0.008

Most intense lines, 10° ≤ 2θ ≤ 80°, by angle:
| 2θ/deg | intensity |
| --- | --- |
| 18.63 | 7.5 |
| 21.55 | 4.2 |
| 30.66 | 100.0 |
| 36.12 | 4.1 |
| 43.91 | 29.1 |
| 48.09 | 1.7 |
| 49.42 | 1.5 |
| 54.51 | 40.2 |
| 58.12 | 1.6 |
| 63.85 | 18.1 |
| 67.15 | 1.6 |
| 72.48 | 17.6 |



The following is a calculated PXRD pattern of Li2WO4. It was derived from a structure optimized by DFT (PBE+U), using CuKα.
Kinematic intensities with the Lorentz-polarization factor, no thermal factor.

Cell and atoms:
Cell lengths 9.073, 9.073, 9.073 Å; angles 107.85, 107.85, 107.85 degrees
Atoms (fractional coordinates):
Li1 0.108 0.873 0.277
Li2 0.127 0.723 0.892
Li3 0.204 0.609 0.433
Li4 0.277 0.108 0.873
Li5 0.391 0.567 0.796
Li6 0.433 0.204 0.609
Li7 0.567 0.796 0.391
Li8 0.609 0.433 0.204
Li9 0.723 0.892 0.127
Li10 0.796 0.391 0.567
Li11 0.873 0.277 0.108
Li12 0.892 0.127 0.723
W1 0.055 0.232 0.463
W2 0.232 0.463 0.055
W3 0.463 0.055 0.232
W4 0.537 0.945 0.768
W5 0.768 0.537 0.945
W6 0.945 0.768 0.537
O1 0.008 0.307 0.971
O2 0.029 0.992 0.693
O3 0.042 0.363 0.348
O4 0.078 0.754 0.424
O5 0.246 0.576 0.922
O6 0.278 0.317 0.617
O7 0.307 0.971 0.008
O8 0.317 0.617 0.278
O9 0.348 0.042 0.363
O10 0.363 0.348 0.042
O11 0.383 0.722 0.683
O12 0.424 0.078 0.754
O13 0.576 0.922 0.246
O14 0.617 0.278 0.317
O15 0.637 0.652 0.958
O16 0.652 0.958 0.637
O17 0.683 0.383 0.722
O18 0.693 0.029 0.992
O19 0.722 0.683 0.383
O20 0.754 0.424 0.078
O21 0.922 0.246 0.576
O22 0.958 0.637 0.652
O23 0.971 0.008 0.307
O24 0.992 0.693 0.029

Most intense lines, 10° ≤ 2θ ≤ 80°, by angle:
| 2θ/deg | intensity |
| --- | --- |
| 19.46 | 31.5 |
| 20.61 | 100.0 |
| 24.27 | 17.1 |
| 26.02 | 21.5 |
| 26.90 | 16.2 |
| 30.01 | 22.5 |
| 32.30 | 25.4 |
| 36.91 | 13.9 |
| 40.00 | 13.9 |
| 44.36 | 9.9 |
| 46.44 | 13.5 |
| 62.09 | 13.0 |